# 1
# Hf3As
Simulated powder diffraction line list, a wavelength of 1.5418 Å. Input: a cell relaxed with GGA-PBE.
Kinematic intensities with the Lorentz-polarization factor, no thermal factor.

Peak list (12 most intense, 15° ≤ 2θ ≤ 90°, low angle first)
Position (°2θ), d/Å, I_rel
33.86, 2.647, 84
33.95, 2.641, 89
34.76, 2.581, 34
34.92, 2.570, 36
35.14, 2.554, 100
36.79, 2.443, 73
37.07, 2.425, 29
37.70, 2.386, 69
37.90, 2.374, 64
40.71, 2.216, 50
42.43, 2.130, 43
60.06, 1.540, 29

Structural model:
a b c (Å): 8.202 8.202 15.418
angles (deg): 90.31 90.31 38.53
Positions (direct):
Hf 0.001 0.532 0.699
Hf 0.045 0.120 0.691
Hf 0.051 0.471 0.095
Hf 0.120 0.045 0.191
Hf 0.120 0.570 0.490
Hf 0.198 0.703 0.984
Hf 0.297 0.802 0.516
Hf 0.424 0.459 0.167
Hf 0.430 0.880 0.010
Hf 0.459 0.424 0.667
Hf 0.468 0.999 0.801
Hf 0.471 0.051 0.595
Hf 0.529 0.949 0.405
Hf 0.532 0.001 0.199
Hf 0.541 0.576 0.333
Hf 0.570 0.120 0.990
Hf 0.576 0.541 0.833
Hf 0.703 0.198 0.484
Hf 0.802 0.297 0.016
Hf 0.880 0.430 0.510
Hf 0.880 0.955 0.809
Hf 0.949 0.529 0.905
Hf 0.955 0.880 0.309
Hf 0.999 0.468 0.301
As 0.065 0.104 0.371
As 0.104 0.065 0.871
As 0.336 0.420 0.833
As 0.420 0.336 0.333
As 0.580 0.664 0.667
As 0.664 0.580 0.167
As 0.896 0.935 0.129
As 0.935 0.896 0.629

# 2
# Sr2Rh
Simulated powder diffraction line list, a wavelength of 1.5418 Å. Input: a cell relaxed with GGA-PBE.
Kinematic intensities with the Lorentz-polarization factor, no thermal factor.

Peak list (12 most intense, 15° ≤ 2θ ≤ 90°, low angle first)
Position (°2θ), d/Å, I_rel
20.90, 4.251, 34
24.18, 3.681, 8
34.45, 2.603, 100
40.64, 2.220, 18
49.52, 1.841, 18
54.31, 1.689, 7
55.84, 1.646, 3
61.72, 1.503, 36
65.92, 1.417, 5
72.64, 1.302, 11
76.55, 1.245, 5
82.94, 1.164, 16

Structural model:
a b c (Å): 5.206 5.206 5.206
angles (deg): 60.00 60.00 60.00
Positions (direct):
Sr 0.250 0.250 0.250
Sr 0.750 0.750 0.750
Rh 0.000 0.000 0.000

# 3
# Zr5V6Sb18
Simulated powder diffraction line list, a wavelength of 1.5418 Å. Input: a cell relaxed with GGA-PBE.
Kinematic intensities with the Lorentz-polarization factor, no thermal factor.

Peak list (12 most intense, 15° ≤ 2θ ≤ 90°, low angle first)
Position (°2θ), d/Å, I_rel
32.21, 2.779, 83
33.02, 2.713, 100
34.67, 2.588, 66
38.19, 2.357, 21
38.78, 2.322, 22
39.89, 2.260, 14
44.02, 2.057, 12
44.58, 2.032, 45
54.12, 1.695, 17
62.34, 1.490, 13
64.12, 1.452, 12
75.22, 1.263, 15

Structural model:
a b c (Å): 30.442 30.442 30.442
angles (deg): 167.62 167.62 17.55
Positions (direct):
Zr 0.000 0.000 0.000
Zr 0.087 0.087 0.000
Zr 0.112 0.612 0.500
Zr 0.362 0.362 0.000
Zr 0.388 0.888 0.500
Zr 0.638 0.638 0.000
Zr 0.663 0.163 0.500
Zr 0.750 0.250 0.500
Zr 0.837 0.337 0.500
Zr 0.913 0.913 0.000
V 0.023 0.523 0.500
V 0.184 0.184 0.000
V 0.205 0.705 0.500
V 0.273 0.273 0.000
V 0.295 0.795 0.500
V 0.455 0.455 0.000
V 0.477 0.977 0.500
V 0.545 0.545 0.000
V 0.566 0.066 0.500
V 0.727 0.727 0.000
V 0.816 0.816 0.000
V 0.934 0.434 0.500
Sb 0.002 0.918 0.392
Sb 0.008 0.878 0.577
Sb 0.023 0.125 0.398
Sb 0.082 0.474 0.084
Sb 0.122 0.700 0.130
Sb 0.125 0.768 0.976
Sb 0.161 0.127 0.653
Sb 0.180 0.550 0.923
Sb 0.224 0.332 0.584
Sb 0.232 0.208 0.357
Sb 0.258 0.724 0.847
Sb 0.276 0.123 0.534
Sb 0.300 0.430 0.423
Sb 0.360 0.776 0.108
Sb 0.375 0.977 0.102
Sb 0.390 0.998 0.916
Sb 0.450 0.372 0.630
Sb 0.474 0.508 0.347
Sb 0.492 0.839 0.966
Sb 0.518 0.375 0.476
Sb 0.526 0.610 0.608
Sb 0.570 0.992 0.870
Sb 0.589 0.742 0.466
Sb 0.625 0.101 0.143
Sb 0.628 0.258 0.077
Sb 0.668 0.252 0.892
Sb 0.727 0.625 0.602
Sb 0.742 0.820 0.370
Sb 0.748 0.640 0.416
Sb 0.792 0.149 0.024
Sb 0.851 0.875 0.643
Sb 0.873 0.526 0.034
Sb 0.875 0.273 0.898
Sb 0.877 0.411 0.153
Sb 0.899 0.042 0.524
Sb 0.958 0.482 0.857

# 4
# Er11Ge10
Simulated powder diffraction line list, a wavelength of 1.5418 Å. Input: a cell relaxed with GGA-PBE.
Kinematic intensities with the Lorentz-polarization factor, no thermal factor.

Peak list (12 most intense, 15° ≤ 2θ ≤ 90°, low angle first)
Position (°2θ), d/Å, I_rel
25.19, 3.536, 23
32.97, 2.717, 54
33.07, 2.709, 100
34.01, 2.636, 93
34.12, 2.628, 40
34.81, 2.577, 43
35.03, 2.562, 74
37.09, 2.424, 42
50.42, 1.810, 33
53.38, 1.716, 25
56.42, 1.631, 20
57.14, 1.612, 20

Structural model:
a b c (Å): 11.205 11.205 11.205
angles (deg): 121.99 121.99 86.59
Positions (direct):
Er 0.058 0.310 0.748
Er 0.103 0.427 0.324
Er 0.103 0.778 0.676
Er 0.160 0.160 0.000
Er 0.222 0.897 0.324
Er 0.310 0.058 0.748
Er 0.310 0.562 0.252
Er 0.322 0.322 0.645
Er 0.322 0.678 0.000
Er 0.427 0.103 0.324
Er 0.438 0.690 0.748
Er 0.562 0.310 0.252
Er 0.573 0.897 0.676
Er 0.678 0.322 0.000
Er 0.678 0.678 0.355
Er 0.690 0.438 0.748
Er 0.690 0.942 0.252
Er 0.778 0.103 0.676
Er 0.840 0.840 0.000
Er 0.897 0.222 0.324
Er 0.897 0.573 0.676
Er 0.942 0.690 0.252
Ge 0.029 0.029 0.419
Ge 0.029 0.609 0.000
Ge 0.120 0.120 0.240
Ge 0.120 0.880 0.000
Ge 0.140 0.500 0.640
Ge 0.250 0.750 0.500
Ge 0.387 0.387 0.000
Ge 0.391 0.391 0.419
Ge 0.391 0.971 0.000
Ge 0.500 0.140 0.640
Ge 0.500 0.860 0.360
Ge 0.609 0.029 0.000
Ge 0.609 0.609 0.581
Ge 0.613 0.613 0.000
Ge 0.750 0.250 0.500
Ge 0.860 0.500 0.360
Ge 0.880 0.120 0.000
Ge 0.880 0.880 0.760
Ge 0.971 0.391 0.000
Ge 0.971 0.971 0.581

# 5
# Sr2Sb2S5O15
Simulated powder diffraction line list, a wavelength of 1.5418 Å. Input: a cell relaxed with GGA-PBE.
Kinematic intensities with the Lorentz-polarization factor, no thermal factor.

Peak list (12 most intense, 15° ≤ 2θ ≤ 90°, low angle first)
Position (°2θ), d/Å, I_rel
19.56, 4.538, 99
20.99, 4.233, 76
23.03, 3.861, 76
23.75, 3.746, 34
25.36, 3.512, 37
27.31, 3.265, 56
28.17, 3.168, 100
31.90, 2.805, 92
32.10, 2.788, 35
32.81, 2.729, 33
40.03, 2.252, 40
45.58, 1.990, 45

Structural model:
a b c (Å): 9.320 9.320 12.773
angles (deg): 96.62 96.62 47.40
Positions (direct):
Sr 0.065 0.223 0.482
Sr 0.223 0.065 0.982
Sr 0.777 0.935 0.018
Sr 0.935 0.777 0.518
Sb 0.349 0.395 0.256
Sb 0.395 0.349 0.756
Sb 0.605 0.651 0.244
Sb 0.651 0.605 0.744
S 0.006 0.435 0.271
S 0.216 0.784 0.250
S 0.266 0.471 0.997
S 0.435 0.006 0.771
S 0.471 0.266 0.497
S 0.529 0.734 0.503
S 0.565 0.994 0.229
S 0.734 0.529 0.003
S 0.784 0.216 0.750
S 0.994 0.565 0.729
O 0.025 0.463 0.620
O 0.099 0.877 0.151
O 0.102 0.664 0.949
O 0.106 0.226 0.287
O 0.123 0.901 0.349
O 0.217 0.347 0.985
O 0.226 0.106 0.787
O 0.242 0.758 0.750
O 0.306 0.593 0.681
O 0.336 0.898 0.551
O 0.347 0.217 0.485
O 0.364 0.447 0.416
O 0.407 0.694 0.819
O 0.447 0.364 0.916
O 0.463 0.025 0.120
O 0.537 0.975 0.880
O 0.553 0.636 0.084
O 0.593 0.306 0.181
O 0.636 0.553 0.584
O 0.653 0.783 0.515
O 0.664 0.102 0.449
O 0.694 0.407 0.319
O 0.758 0.242 0.250
O 0.774 0.894 0.213
O 0.783 0.653 0.015
O 0.877 0.099 0.651
O 0.894 0.774 0.713
O 0.898 0.336 0.051
O 0.901 0.123 0.849
O 0.975 0.537 0.380

# 6
# BaMg14SnO16
Simulated powder diffraction line list, a wavelength of 1.5418 Å. Input: a cell relaxed with GGA-PBE.
Kinematic intensities with the Lorentz-polarization factor, no thermal factor.

Peak list (12 most intense, 15° ≤ 2θ ≤ 90°, low angle first)
Position (°2θ), d/Å, I_rel
20.04, 4.430, 35
24.06, 3.699, 41
28.01, 3.185, 31
31.94, 2.802, 29
34.68, 2.586, 53
37.63, 2.391, 29
39.32, 2.292, 58
40.73, 2.215, 100
57.90, 1.593, 64
58.97, 1.566, 29
70.24, 1.340, 24
73.19, 1.293, 29

Structural model:
a b c (Å): 8.861 8.861 4.583
angles (deg): 90.00 90.00 90.00
Positions (direct):
Ba 0.000 0.000 0.000
Mg 0.000 0.263 0.500
Mg 0.000 0.500 0.000
Mg 0.000 0.737 0.500
Mg 0.243 0.500 0.500
Mg 0.254 0.254 0.000
Mg 0.254 0.746 0.000
Mg 0.263 0.000 0.500
Mg 0.500 0.000 0.000
Mg 0.500 0.243 0.500
Mg 0.500 0.757 0.500
Mg 0.737 0.000 0.500
Mg 0.746 0.254 0.000
Mg 0.746 0.746 0.000
Mg 0.757 0.500 0.500
Sn 0.500 0.500 0.000
O 0.000 0.000 0.500
O 0.000 0.278 0.000
O 0.000 0.500 0.500
O 0.000 0.722 0.000
O 0.234 0.500 0.000
O 0.251 0.251 0.500
O 0.251 0.749 0.500
O 0.278 0.000 0.000
O 0.500 0.000 0.500
O 0.500 0.234 0.000
O 0.500 0.500 0.500
O 0.500 0.766 0.000
O 0.722 0.000 0.000
O 0.749 0.251 0.500
O 0.749 0.749 0.500
O 0.766 0.500 0.000

# 7
# KRb2GdCl6
Simulated powder diffraction line list, a wavelength of 1.5418 Å. Input: a cell relaxed with GGA-PBE.
Kinematic intensities with the Lorentz-polarization factor, no thermal factor.

Peak list (12 most intense, 15° ≤ 2θ ≤ 90°, low angle first)
Position (°2θ), d/Å, I_rel
22.19, 4.006, 100
26.08, 3.416, 17
27.27, 3.271, 18
31.59, 2.833, 79
38.94, 2.313, 46
45.28, 2.003, 53
50.98, 1.791, 23
56.25, 1.635, 18
61.22, 1.514, 26
74.97, 1.267, 21
83.62, 1.156, 16
87.88, 1.111, 14

Structural model:
a b c (Å): 8.012 8.012 8.012
angles (deg): 60.00 60.00 60.00
Positions (direct):
K 0.000 0.000 0.000
Rb 0.250 0.250 0.250
Rb 0.750 0.750 0.750
Gd 0.500 0.500 0.500
Cl 0.265 0.265 0.735
Cl 0.265 0.735 0.265
Cl 0.265 0.735 0.735
Cl 0.735 0.265 0.265
Cl 0.735 0.265 0.735
Cl 0.735 0.735 0.265

# 8
# LaFeNi8Ge4
Simulated powder diffraction line list, a wavelength of 1.5418 Å. Input: a cell relaxed with GGA-PBE.
Kinematic intensities with the Lorentz-polarization factor, no thermal factor.

Peak list (12 most intense, 15° ≤ 2θ ≤ 90°, low angle first)
Position (°2θ), d/Å, I_rel
34.47, 2.602, 38
35.70, 2.515, 23
35.85, 2.505, 21
38.12, 2.361, 66
38.95, 2.312, 67
39.10, 2.304, 66
46.35, 1.959, 100
47.25, 1.924, 30
47.50, 1.914, 30
47.79, 1.903, 43
47.96, 1.897, 34
55.92, 1.644, 26

Structural model:
a b c (Å): 8.137 8.110 7.937
angles (deg): 60.92 60.59 58.49
Positions (direct):
La 0.000 0.000 0.500
La 0.500 0.500 0.000
Fe 0.189 0.945 0.811
Fe 0.945 0.189 0.055
Ni 0.045 0.450 0.322
Ni 0.052 0.802 0.198
Ni 0.178 0.315 0.049
Ni 0.248 0.248 0.752
Ni 0.303 0.555 0.697
Ni 0.315 0.178 0.457
Ni 0.441 0.692 0.308
Ni 0.450 0.045 0.183
Ni 0.543 0.951 0.685
Ni 0.555 0.303 0.445
Ni 0.678 0.817 0.955
Ni 0.692 0.441 0.559
Ni 0.746 0.746 0.254
Ni 0.802 0.052 0.948
Ni 0.817 0.678 0.550
Ni 0.951 0.543 0.822
Ge 0.042 0.699 0.958
Ge 0.198 0.541 0.459
Ge 0.296 0.952 0.048
Ge 0.452 0.800 0.548
Ge 0.541 0.198 0.802
Ge 0.699 0.042 0.301
Ge 0.800 0.452 0.200
Ge 0.952 0.296 0.704